# 1
Structure and calculated X-ray powder pattern of BaUI6 (a GGA-PBE-relaxed structure; a wavelength of 1.5418 Å).
Lines closer than 0.1° are merged.

abc: 8.428 8.428 15.436
angles: 96.24 96.24 119.57
Atoms (fractional coordinates):
Ba  0.080  0.920  0.500
Ba  0.920  0.080  0.000
U  0.415  0.587  0.503
U  0.587  0.415  0.003
I  0.080  0.252  0.384
I  0.175  0.641  0.621
I  0.252  0.080  0.884
I  0.337  0.454  0.119
I  0.369  0.831  0.385
I  0.454  0.337  0.619
I  0.540  0.661  0.887
I  0.641  0.175  0.121
I  0.661  0.540  0.387
I  0.755  0.919  0.622
I  0.831  0.369  0.885
I  0.919  0.755  0.122

Largest 10 diffraction maxima, low angle first, 10 to 90 degrees two-theta:
2θ 11.74, rel. 52; 2θ 12.59, rel. 29; 2θ 21.42, rel. 26; 2θ 26.17, rel. 100; 2θ 26.71, rel. 50; 2θ 36.80, rel. 33; 2θ 37.03, rel. 17; 2θ 37.66, rel. 21; 2θ 38.66, rel. 35; 2θ 46.24, rel. 19

# 2
Structure and calculated X-ray powder pattern of BaYI5 (a GGA-PBE-relaxed structure; a wavelength of 1.5418 Å).
Lines closer than 0.1° are merged.

abc: 8.421 8.421 11.885
angles: 109.29 109.29 70.13
Atoms (fractional coordinates):
Ba  0.052  0.948  0.750
Ba  0.948  0.052  0.250
Y  0.500  0.500  0.000
Y  0.500  0.500  0.500
I  0.140  0.747  0.011
I  0.196  0.347  0.377
I  0.253  0.860  0.489
I  0.347  0.196  0.877
I  0.422  0.578  0.750
I  0.578  0.422  0.250
I  0.653  0.804  0.123
I  0.747  0.140  0.511
I  0.804  0.653  0.623
I  0.860  0.253  0.989

Largest 10 diffraction maxima, low angle first, 10 to 90 degrees two-theta:
2θ 14.04, rel. 100; 2θ 17.52, rel. 89; 2θ 22.59, rel. 72; 2θ 24.45, rel. 61; 2θ 27.25, rel. 78; 2θ 28.30, rel. 77; 2θ 28.93, rel. 78; 2θ 30.09, rel. 98; 2θ 33.92, rel. 77; 2θ 35.43, rel. 64

# 3
Structure and calculated X-ray powder pattern of Ba2YI7 (a GGA-PBE-relaxed structure; a wavelength of 1.5418 Å).
Lines closer than 0.1° are merged.

abc: 8.508 14.807 15.498
angles: 90.00 98.45 90.00
Atoms (fractional coordinates):
Ba  0.128  0.000  0.190
Ba  0.185  0.175  0.688
Ba  0.257  0.758  0.844
Ba  0.288  0.428  0.338
Ba  0.712  0.928  0.662
Ba  0.743  0.258  0.156
Ba  0.815  0.675  0.312
Ba  0.872  0.500  0.810
Y  0.375  0.467  0.938
Y  0.381  0.713  0.448
Y  0.619  0.213  0.552
Y  0.625  0.967  0.062
I  0.086  0.977  0.784
I  0.112  0.584  0.470
I  0.118  0.215  0.276
I  0.118  0.594  0.987
I  0.125  0.847  0.370
I  0.144  0.312  0.882
I  0.265  0.531  0.752
I  0.339  0.847  0.073
I  0.345  0.341  0.562
I  0.374  0.784  0.632
I  0.386  0.059  0.519
I  0.388  0.652  0.259
I  0.396  0.123  0.059
I  0.410  0.405  0.128
I  0.590  0.905  0.872
I  0.604  0.623  0.941
I  0.612  0.152  0.741
I  0.614  0.559  0.481
I  0.626  0.284  0.368
I  0.655  0.841  0.438
I  0.661  0.347  0.927
I  0.735  0.031  0.248
I  0.856  0.812  0.118
I  0.875  0.347  0.630
I  0.882  0.094  0.013
I  0.882  0.715  0.724
I  0.888  0.084  0.530
I  0.914  0.477  0.216

Largest 10 diffraction maxima, low angle first, 10 to 90 degrees two-theta:
2θ 13.01, rel. 45; 2θ 23.36, rel. 34; 2θ 25.60, rel. 49; 2θ 26.20, rel. 100; 2θ 26.31, rel. 63; 2θ 26.74, rel. 38; 2θ 27.84, rel. 99; 2θ 30.13, rel. 43; 2θ 30.76, rel. 37; 2θ 34.75, rel. 49

# 4
Structure and calculated X-ray powder pattern of Ba2ZnI (a GGA-PBE-relaxed structure; a wavelength of 1.5418 Å).
Lines closer than 0.1° are merged.

abc: 4.607 26.964 5.302
angles: 90.00 90.00 90.00
Atoms (fractional coordinates):
Ba  0.000  0.056  0.250
Ba  0.000  0.332  0.250
Ba  0.000  0.668  0.750
Ba  0.000  0.944  0.750
Ba  0.500  0.168  0.750
Ba  0.500  0.444  0.750
Ba  0.500  0.556  0.250
Ba  0.500  0.832  0.250
Zn  0.000  0.460  0.250
Zn  0.000  0.540  0.750
Zn  0.500  0.040  0.750
Zn  0.500  0.960  0.250
I  0.000  0.196  0.250
I  0.000  0.804  0.750
I  0.500  0.304  0.750
I  0.500  0.696  0.250

Largest 10 diffraction maxima, low angle first, 10 to 90 degrees two-theta:
2θ 25.83, rel. 100; 2θ 26.44, rel. 32; 2θ 30.25, rel. 21; 2θ 33.81, rel. 30; 2θ 34.76, rel. 68; 2θ 39.11, rel. 20; 2θ 43.43, rel. 16; 2θ 45.99, rel. 13; 2θ 52.64, rel. 17; 2θ 61.10, rel. 13

# 5
Structure and calculated X-ray powder pattern of Ba5ZnI5 (a GGA-PBE-relaxed structure; a wavelength of 1.5418 Å).
Lines closer than 0.1° are merged.

abc: 8.771 8.771 10.098
angles: 107.38 107.38 47.33
Atoms (fractional coordinates):
Ba  0.000  0.000  0.000
Ba  0.347  0.347  0.687
Ba  0.350  0.350  0.156
Ba  0.650  0.650  0.844
Ba  0.653  0.653  0.313
Zn  0.500  0.500  0.000
I  0.170  0.170  0.831
I  0.187  0.187  0.337
I  0.500  0.500  0.500
I  0.813  0.813  0.663
I  0.830  0.830  0.169

Largest 10 diffraction maxima, low angle first, 10 to 90 degrees two-theta:
2θ 24.75, rel. 96; 2θ 25.07, rel. 97; 2θ 25.30, rel. 100; 2θ 35.46, rel. 32; 2θ 35.56, rel. 38; 2θ 35.68, rel. 73; 2θ 35.91, rel. 76; 2θ 44.11, rel. 76; 2θ 57.52, rel. 21; 2θ 58.52, rel. 18

# 6
Structure and calculated X-ray powder pattern of Ba5In3 (a GGA-PBE-relaxed structure; a wavelength of 1.5418 Å).
Lines closer than 0.1° are merged.

abc: 9.059 9.059 17.866
angles: 90.00 90.00 90.00
Atoms (fractional coordinates):
Ba  0.062  0.583  0.104
Ba  0.062  0.917  0.604
Ba  0.083  0.562  0.396
Ba  0.083  0.938  0.896
Ba  0.250  0.250  0.231
Ba  0.250  0.250  0.731
Ba  0.417  0.562  0.896
Ba  0.417  0.938  0.396
Ba  0.438  0.583  0.604
Ba  0.438  0.917  0.104
Ba  0.562  0.083  0.896
Ba  0.562  0.417  0.396
Ba  0.583  0.062  0.604
Ba  0.583  0.438  0.104
Ba  0.750  0.750  0.269
Ba  0.750  0.750  0.769
Ba  0.917  0.062  0.104
Ba  0.917  0.438  0.604
Ba  0.938  0.083  0.396
Ba  0.938  0.417  0.896
In  0.137  0.637  0.750
In  0.137  0.863  0.250
In  0.250  0.250  0.013
In  0.250  0.250  0.513
In  0.363  0.637  0.250
In  0.363  0.863  0.750
In  0.637  0.137  0.250
In  0.637  0.363  0.750
In  0.750  0.750  0.487
In  0.750  0.750  0.987
In  0.863  0.137  0.750
In  0.863  0.363  0.250

Largest 10 diffraction maxima, low angle first, 10 to 90 degrees two-theta:
2θ 26.61, rel. 100; 2θ 27.86, rel. 18; 2θ 28.06, rel. 52; 2θ 30.01, rel. 14; 2θ 31.22, rel. 44; 2θ 36.10, rel. 15; 2θ 41.40, rel. 13; 2θ 43.90, rel. 20; 2θ 47.18, rel. 14; 2θ 55.68, rel. 15